Diffraction record for TbNd5Pb5. The powder X-ray diffraction pattern is theoretical, not measured: it uses DFT lattice parameters and positions (GGA-PBE) and Cu Kα (λ = 1.5418 Å).
Kinematic intensities with the Lorentz-polarization factor, no thermal factor.

Cell and atoms:
```
TbNd5Pb5
1.0
7.3701 -3.2027 0.0000
7.3701 3.2027 0.0000
-2.6020 0.0000 8.3039
Tb Nd Pb
1 5 5
Direct
0.0000 0.0000 0.0000 Tb
0.0000 0.0000 0.5000 Nd
0.3313 0.3313 0.6661 Nd
0.3347 0.3347 0.1709 Nd
0.6653 0.6653 0.8291 Nd
0.6687 0.6687 0.3339 Nd
0.1633 0.1633 0.3310 Pb
0.1638 0.1638 0.8350 Pb
0.5000 0.5000 0.0000 Pb
0.8362 0.8362 0.1650 Pb
0.8367 0.8367 0.6690 Pb
```

The 8 most intense peaks (10° ≤ 2θ ≤ 80°), most intense first:
| 2θ (°) | d (Å) | I_rel |
| --- | --- | --- |
| 39.9 | 2.260 | 100 |
| 27.9 | 3.203 | 67 |
| 27.9 | 3.196 | 64 |
| 28.0 | 3.183 | 63 |
| 65.2 | 1.431 | 36 |
| 48.1 | 1.892 | 30 |
| 38.4 | 2.344 | 28 |
| 50.7 | 1.800 | 25 |